No. 1
Diffraction record for U2Tl2S7. The powder diffractogram is theoretical, not measured: it uses DFT lattice parameters and positions (PBE) and λ = 1.5418 Å (Cu Kα).
No peak broadening, texture or thermal motion is included.

Cell: 4.0840 15.7493 8.9886 Å, 90.00 90.00 90.00°
Space group Imm2 (No. 44)
Asymmetric unit:
U 0.0000 0.0000 0.0000 [2 per cell]
U 0.0000 0.5000 0.0056 [2 per cell]
Tl 0.0000 0.2113 0.2489 [4 per cell]
S 0.0000 0.0000 0.3013 [2 per cell]
S 0.0000 0.0658 0.6936 [4 per cell]
S 0.0000 0.3414 0.9641 [4 per cell]
S 0.0000 0.3949 0.5056 [4 per cell]

Main lines, low angle first (2θ = 10–90°):
| Position (°2θ) | I_rel |
| --- | --- |
| 19.58 | 21 |
| 22.58 | 36 |
| 22.78 | 100 |
| 23.93 | 50 |
| 26.51 | 69 |
| 30.08 | 31 |
| 33.14 | 43 |
| 37.22 | 23 |
| 39.00 | 38 |
| 40.13 | 21 |
| 42.14 | 25 |
| 50.41 | 34 |

***

No. 2
Diffraction record for U2TlS4. The powder diffractogram is theoretical, not measured: it uses DFT lattice parameters and positions (PBE) and λ = 1.5418 Å (Cu Kα).
No peak broadening, texture or thermal motion is included.

Cell: 6.8969 4.0046 7.7653 Å, 90.00 90.48 90.00°
Space group P2/m (No. 10)
Asymmetric unit:
U 0.0000 0.0000 0.0000 [1 per cell]
U 0.5000 0.5000 0.0000 [1 per cell]
Tl 0.0000 0.0000 0.5000 [1 per cell]
S 0.1669 0.5000 0.1898 [2 per cell]
S 0.3314 0.0000 0.8142 [2 per cell]

Main lines, low angle first (2θ = 10–90°):
| Position (°2θ) | I_rel |
| --- | --- |
| 11.40 | 89 |
| 12.84 | 29 |
| 22.91 | 59 |
| 25.72 | 100 |
| 25.84 | 49 |
| 28.24 | 43 |
| 34.64 | 96 |
| 34.79 | 83 |
| 34.95 | 26 |
| 45.50 | 40 |
| 51.35 | 30 |
| 54.05 | 29 |

***

No. 3
Diffraction record for UTl2S4. The powder diffractogram is theoretical, not measured: it uses DFT lattice parameters and positions (PBE) and λ = 1.5418 Å (Cu Kα).
No peak broadening, texture or thermal motion is included.

Cell: 8.3940 12.0754 4.0840 Å, 90.00 90.00 90.00°
Space group Pbam (No. 55)
Asymmetric unit:
U 0.0000 0.0000 0.0000 [2 per cell]
Tl 0.0999 0.3160 0.5000 [4 per cell]
S 0.1187 0.8129 0.0000 [4 per cell]
S 0.1811 0.0549 0.5000 [4 per cell]

Main lines, low angle first (2θ = 10–90°):
| Position (°2θ) | I_rel |
| --- | --- |
| 12.84 | 37 |
| 21.17 | 26 |
| 22.43 | 43 |
| 24.53 | 97 |
| 25.35 | 87 |
| 26.35 | 50 |
| 31.46 | 100 |
| 34.04 | 39 |
| 44.92 | 49 |
| 45.29 | 26 |
| 51.34 | 28 |
| 64.32 | 31 |

***

No. 4
Diffraction record for U3TlS8. The powder diffractogram is theoretical, not measured: it uses DFT lattice parameters and positions (PBE) and λ = 1.5418 Å (Cu Kα).
No peak broadening, texture or thermal motion is included.

Cell: 7.9674 7.9674 22.7203 Å, 90.00 90.00 120.00°
Space group R-3m (No. 166, hexagonal axes)
Asymmetric unit:
U 0.0000 0.5000 0.0000 [9 per cell]
Tl 0.0000 0.0000 0.5000 [3 per cell]
S 0.0000 0.0000 0.2722 [6 per cell]
S 0.0277 0.5139 0.2737 [18 per cell]

Main lines, low angle first (2θ = 10–90°):
| Position (°2θ) | I_rel |
| --- | --- |
| 11.68 | 82 |
| 13.41 | 100 |
| 23.47 | 45 |
| 25.26 | 42 |
| 26.13 | 21 |
| 27.01 | 37 |
| 30.31 | 89 |
| 38.07 | 20 |
| 41.17 | 31 |
| 45.54 | 30 |
| 51.86 | 24 |
| 55.70 | 20 |